[1]
This entry pairs a crystal structure of ZrCd with its simulated X-ray diffraction stick pattern. Radiation: copper Kα. Structure: a DFT-relaxed cell (GGA-PBE, OQMD).
Lines closer than 0.1° are merged.

Structural model:
```
data_ZrCd
_symmetry_space_group_name_H-M 'P 1 21/m 1'
_symmetry_Int_Tables_number 11
_cell_length_a 6.3268
_cell_length_b 5.0388
_cell_length_c 8.4490
_cell_angle_alpha 90.00
_cell_angle_beta 101.44
_cell_angle_gamma 90.00
loop_
_symmetry_equiv_pos_as_xyz
'x,y,z'
'-x,-y,-z'
'-x,y+1/2,-z'
'x,-y+1/2,z'
loop_
_atom_site_label
_atom_site_type_symbol
_atom_site_fract_x
_atom_site_fract_y
_atom_site_fract_z
_atom_site_occupancy
Zr1 Zr 0.1420 0.2500 0.0466 1
Zr2 Zr 0.1850 0.7500 0.2730 1
Zr3 Zr 0.3512 0.7500 0.9399 1
Cd1 Cd 0.0225 0.7500 0.6064 1
Cd2 Cd 0.3148 0.2500 0.7145 1
Cd3 Cd 0.4710 0.2500 0.3917 1
```

Principal peaks in the range 2θ from 15° to 90°, by angle:
- 32.45°, rel. 20.5, (0 0 3)
- 32.79°, rel. 14.4, (2 0 1)
- 35.64°, rel. 36.4, (0 2 0)
- 37.15°, rel. 100.0, (2 1 -2)
- 37.45°, rel. 43.5, (2 1 1)
- 48.96°, rel. 12.5, (0 2 3)
- 58.32°, rel. 16.1, (2 0 4)
- 65.01°, rel. 18.3, (2 3 -2)
- 70.25°, rel. 18.1, (2 2 4)
- 70.81°, rel. 11.9, (0 1 6)

=====

[2]
This entry pairs a crystal structure of CoCl3 with its simulated X-ray diffraction stick pattern. Radiation: copper Kα. Structure: a DFT-relaxed cell (GGA-PBE, OQMD).
Lines closer than 0.1° are merged.

Structural model:
```
data_CoCl3
_symmetry_space_group_name_H-M 'P m m n'
_symmetry_Int_Tables_number 59
_cell_length_a 5.6555
_cell_length_b 10.5731
_cell_length_c 6.1107
_cell_angle_alpha 90.00
_cell_angle_beta 90.00
_cell_angle_gamma 90.00
loop_
_symmetry_equiv_pos_as_xyz
'x,y,z'
'-x,-y,-z'
'-x+1/2,-y+1/2,z'
'x+1/2,y+1/2,-z'
'x+1/2,-y,-z'
'-x+1/2,y,z'
'-x,y+1/2,-z'
'x,-y+1/2,z'
loop_
_atom_site_label
_atom_site_type_symbol
_atom_site_fract_x
_atom_site_fract_y
_atom_site_fract_z
_atom_site_occupancy
Co1 Co 0.0000 0.2500 0.2455 1
Cl1 Cl 0.2500 0.1073 0.1030 1
Cl2 Cl 0.2500 0.2500 0.5305 1
Cl3 Cl 0.2500 0.6073 0.6119 1
Cl4 Cl 0.2500 0.7500 0.0397 1
```

Principal peaks in the range 2θ from 15° to 90°, by angle:
- 16.76°, rel. 100.0, (0 2 0)
- 33.35°, rel. 36.6, (1 3 1)
- 36.02°, rel. 7.3, (2 2 0)
- 43.62°, rel. 27.1, (2 3 1)
- 47.05°, rel. 14.7, (2 4 0)
- 48.28°, rel. 6.9, (1 4 2)
- 51.86°, rel. 12.6, (0 6 0)
- 56.36°, rel. 12.8, (2 4 2)
- 57.45°, rel. 6.1, (3 3 1)
- 63.41°, rel. 6.4, (0 7 1)

=====

[3]
This entry pairs a crystal structure of CoCl5 with its simulated X-ray diffraction stick pattern. Radiation: copper Kα. Structure: a DFT-relaxed cell (GGA-PBE, OQMD).
Lines closer than 0.1° are merged.

Structural model:
```
data_CoCl5
_symmetry_space_group_name_H-M 'P 1 21/c 1'
_symmetry_Int_Tables_number 14
_cell_length_a 7.5319
_cell_length_b 9.5497
_cell_length_c 10.5511
_cell_angle_alpha 90.00
_cell_angle_beta 134.26
_cell_angle_gamma 90.00
loop_
_symmetry_equiv_pos_as_xyz
'x,y,z'
'-x,-y,-z'
'-x,y+1/2,-z+1/2'
'x,-y+1/2,z+1/2'
loop_
_atom_site_label
_atom_site_type_symbol
_atom_site_fract_x
_atom_site_fract_y
_atom_site_fract_z
_atom_site_occupancy
Co1 Co 0.1004 0.1285 0.4515 1
Cl1 Cl 0.0818 0.1451 0.9564 1
Cl2 Cl 0.1010 0.6116 0.9590 1
Cl3 Cl 0.2608 0.6196 0.3244 1
Cl4 Cl 0.2879 0.1206 0.3635 1
Cl5 Cl 0.4557 0.1271 0.7286 1
```

Principal peaks in the range 2θ from 15° to 90°, by angle:
- 16.43°, rel. 68.6, (1 0 0)
- 19.22°, rel. 61.6, (1 1 -2)
- 22.04°, rel. 73.8, (1 2 -1)
- 32.32°, rel. 69.0, (2 2 -1)
- 32.67°, rel. 75.8, (1 2 -3)
- 37.39°, rel. 98.9, (1 0 2)
- 37.68°, rel. 100.0, (0 4 0)
- 38.03°, rel. 92.8, (3 0 -4)
- 54.13°, rel. 56.0, (1 4 2)
- 54.61°, rel. 53.8, (3 4 -4)

=====

[4]
This entry pairs a crystal structure of CoCl3 with its simulated X-ray diffraction stick pattern. Radiation: copper Kα. Structure: a DFT-relaxed cell (GGA-PBE, OQMD).
Lines closer than 0.1° are merged.

Structural model:
```
data_CoCl3
_symmetry_space_group_name_H-M 'P -3 1 m'
_symmetry_Int_Tables_number 162
_symmetry_space_group_name_Hall '-P 3 2'
_cell_length_a 5.7369
_cell_length_b 5.7369
_cell_length_c 5.9968
_cell_angle_alpha 90.00
_cell_angle_beta 90.00
_cell_angle_gamma 120.00
loop_
_atom_site_label
_atom_site_type_symbol
_atom_site_fract_x
_atom_site_fract_y
_atom_site_fract_z
_atom_site_occupancy
Co1 Co 0.3333 0.6667 0.0000 1
Cl1 Cl 0.0000 0.3574 0.2106 1
```

Principal peaks in the range 2θ from 15° to 90°, by angle:
- 17.85°, rel. 44.5, (1 0 0)
- 23.25°, rel. 31.7, (1 0 1)
- 34.67°, rel. 100.0, (2 -1 1)
- 43.67°, rel. 65.8, (2 -1 2)
- 55.49°, rel. 28.7, (3 0 0)
- 56.08°, rel. 29.7, (1 1 3)
- 57.75°, rel. 14.9, (3 0 1)
- 67.10°, rel. 10.9, (2 2 1)
- 73.15°, rel. 11.4, (2 2 2)
- 82.83°, rel. 9.3, (4 -2 3)